[1]
Structure and calculated XRD peak list of Tl2SnPbAu2 (a DFT-relaxed cell (PBE, Alexandria); a wavelength of 1.5418 Å).
Peak positions follow from Bragg's law for the DFT cell and can differ from measured ones.

Peak list (8 most intense, 10 to 80 degrees two-theta, in order of rising 2θ)
Position (°2θ)  I_rel
30.3  64
31.4  100
33.5  21
36.3  20
36.4  17
36.7  25
37.5  43
63.9  21

Structure:
a b c (Å): 4.794 8.558 7.767
angles (deg): 90.00 90.00 90.00
Element x y z (fractional)
Tl (0.000, 0.098, 0.000)
Tl (0.000, 0.902, 0.500)
Tl (0.500, 0.165, 0.318)
Tl (0.500, 0.835, 0.818)
Sn (0.000, 0.302, 0.615)
Sn (0.000, 0.698, 0.115)
Pb (0.500, 0.439, 0.981)
Pb (0.500, 0.561, 0.481)
Au (0.000, 0.399, 0.266)
Au (0.000, 0.601, 0.766)
Au (0.500, 0.173, 0.732)
Au (0.500, 0.827, 0.232)

---

[2]
Structure and calculated XRD peak list of Sr3Pb3Au2 (a DFT-relaxed cell (PBE, Alexandria); a wavelength of 1.5418 Å).
Peak positions follow from Bragg's law for the DFT cell and can differ from measured ones.

Peak list (8 most intense, 10 to 80 degrees two-theta, in order of rising 2θ)
Position (°2θ)  I_rel
14.9  34
21.7  43
28.9  100
33.2  58
36.1  89
36.7  57
42.4  57
57.6  40

Structure:
a b c (Å): 6.416 6.416 16.928
angles (deg): 90.00 90.00 135.17
Element x y z (fractional)
Sr (0.087, 0.913, 0.610)
Sr (0.087, 0.913, 0.890)
Sr (0.358, 0.642, 0.750)
Sr (0.642, 0.358, 0.250)
Sr (0.913, 0.087, 0.110)
Sr (0.913, 0.087, 0.390)
Pb (0.350, 0.650, 0.250)
Pb (0.373, 0.627, 0.534)
Pb (0.373, 0.627, 0.966)
Pb (0.627, 0.373, 0.034)
Pb (0.627, 0.373, 0.466)
Pb (0.650, 0.350, 0.750)
Au (0.202, 0.798, 0.112)
Au (0.202, 0.798, 0.388)
Au (0.798, 0.202, 0.612)
Au (0.798, 0.202, 0.888)